(1)
Calculated X-ray diffraction stick pattern of Ca3Al4 for copper Kα, from DFT lattice parameters and positions (PBE).
Peak positions follow from Bragg's law for the DFT cell and can differ from measured ones.

Top 10 peaks for 15 to 90 degrees two-theta, low angle first:
27.4°, d 3.259, I = 26; 30.6°, d 2.919, I = 17; 33.7°, d 2.662, I = 100; 36.7°, d 2.446, I = 63; 38.0°, d 2.366, I = 23; 48.6°, d 1.875, I = 17; 52.9°, d 1.729, I = 20; 60.2°, d 1.538, I = 9; 63.6°, d 1.462, I = 12; 64.2°, d 1.450, I = 27

Cell and atoms:
abc: 14.7994 14.7994 14.7994
angles: 166.58 166.58 19.02
Element x y z (fractional)
1 Ca 0.0000 0.0000 0.0000
2 Ca 0.3050 0.3050 0.0000
3 Ca 0.6950 0.6950 0.0000
4 Al 0.1221 0.1221 0.0000
5 Al 0.4244 0.4244 0.0000
6 Al 0.5756 0.5756 0.0000
7 Al 0.8779 0.8779 0.0000

(2)
Calculated X-ray diffraction stick pattern of Ba3Mg4 for copper Kα, from DFT lattice parameters and positions (PBE).
Peak positions follow from Bragg's law for the DFT cell and can differ from measured ones.

Top 10 peaks for 15 to 90 degrees two-theta, low angle first:
16.6°, d 5.327, I = 23; 22.9°, d 3.879, I = 100; 27.9°, d 3.196, I = 22; 29.0°, d 3.077, I = 69; 30.3°, d 2.945, I = 59; 33.2°, d 2.702, I = 19; 41.7°, d 2.166, I = 30; 43.5°, d 2.083, I = 22; 49.7°, d 1.835, I = 25; 53.1°, d 1.725, I = 25

Cell and atoms:
abc: 16.2489 16.2489 16.2489
angles: 165.27 165.27 20.89
Element x y z (fractional)
1 Ba 0.0000 0.0000 0.0000
2 Ba 0.3073 0.3073 0.0000
3 Ba 0.6927 0.6927 0.0000
4 Mg 0.1184 0.1184 0.0000
5 Mg 0.4246 0.4246 0.0000
6 Mg 0.5754 0.5754 0.0000
7 Mg 0.8816 0.8816 0.0000